Entry 1:
# Ac3Ga2Ir2
Theoretical powder diffractogram, Cu Kα (λ = 1.5418 Å). Input: the GGA-PBE geometry in Alexandria.

Structural model:
```
data_Ac3Ga2Ir2
_chemical_formula_sum 'Ac6 Ga4 Ir4'
_cell_length_a 4.291
_cell_length_b 4.541
_cell_length_c 19.034
_cell_angle_alpha 90.00
_cell_angle_beta 90.00
_cell_angle_gamma 90.00
_space_group_name_H-M_alt 'I m m m'
_space_group_IT_number 71
_space_group_name_Hall '-I 2 2'
loop_
_atom_site_label
_atom_site_type_symbol
_atom_site_fract_x
_atom_site_fract_y
_atom_site_fract_z
Ac1 Ac 0.000 0.000 0.000
Ac2 Ac 0.000 0.500 0.314
Ga1 Ga 0.000 0.000 0.432
Ir1 Ir 0.000 0.500 0.143
```

Principal peaks in the range 2θ = 10–90°, low angle first:
2θ 28.13, d = 3.172 Å, rel. 27, (0 0 6); 2θ 28.62, d = 3.119 Å, rel. 23, (1 1 0); 2θ 30.15, d = 2.964 Å, rel. 100, (1 1 2); 2θ 30.64, d = 2.917 Å, rel. 57, (0 1 5); 2θ 34.38, d = 2.609 Å, rel. 44, (1 1 4); 2θ 39.22, d = 2.297 Å, rel. 38, (1 0 7); 2θ 39.69, d = 2.271 Å, rel. 34, (0 2 0); 2θ 42.11, d = 2.146 Å, rel. 29, (2 0 0); 2θ 52.98, d = 1.729 Å, rel. 25, (2 1 5); 2θ 57.00, d = 1.616 Å, rel. 43, (0 1 11)



Entry 2:
# Zr5PaN5
Theoretical powder diffractogram, Cu Kα (λ = 1.5418 Å). Input: the GGA-PBE geometry in Alexandria.

Structural model:
```
data_Zr5PaN5
_chemical_formula_sum 'Zr10 Pa2 N10'
_cell_length_a 10.516
_cell_length_b 4.703
_cell_length_c 6.601
_cell_angle_alpha 90.00
_cell_angle_beta 108.51
_cell_angle_gamma 90.00
_space_group_name_H-M_alt 'C 1 2/m 1'
_space_group_IT_number 12
loop_
_space_group_symop_operation_xyz
'x,y,z'
'-x,-y,-z'
'-x,y,-z'
'x,-y,z'
'x+1/2,y+1/2,z'
'-x+1/2,-y+1/2,-z'
'-x+1/2,y+1/2,-z'
'x+1/2,-y+1/2,z'
loop_
_atom_site_label
_atom_site_type_symbol
_atom_site_fract_x
_atom_site_fract_y
_atom_site_fract_z
Zr1 Zr 0.000 0.000 0.000
Zr2 Zr 0.172 0.500 0.339
Zr3 Zr 0.177 0.500 0.836
Pa1 Pa 0.000 0.000 0.500
N1 N 0.000 0.500 0.500
N2 N 0.166 0.000 0.835
N3 N 0.167 0.000 0.330
```

Principal peaks in the range 2θ = 10–90°, low angle first:
2θ 14.15, d = 6.260 Å, rel. 20, (0 0 1); 2θ 20.89, d = 4.253 Å, rel. 21, (1 1 0); 2θ 33.00, d = 2.714 Å, rel. 100, (3 1 0); 2θ 33.16, d = 2.702 Å, rel. 100, (1 1 -2); 2θ 38.32, d = 2.349 Å, rel. 99, (0 2 0); 2θ 38.51, d = 2.338 Å, rel. 49, (2 0 2); 2θ 55.30, d = 1.661 Å, rel. 48, (4 2 -2); 2θ 55.42, d = 1.658 Å, rel. 32, (2 2 2); 2θ 65.92, d = 1.417 Å, rel. 42, (1 3 -2); 2θ 66.14, d = 1.413 Å, rel. 27, (5 1 -4)



Entry 3:
# Li4Mg5Ag2
Theoretical powder diffractogram, Cu Kα (λ = 1.5418 Å). Input: the GGA-PBE geometry in Alexandria.

Structural model:
```
data_Li4Mg5Ag2
_chemical_formula_sum 'Li4 Mg5 Ag2'
_cell_length_a 3.106
_cell_length_b 7.682
_cell_length_c 9.592
_cell_angle_alpha 109.44
_cell_angle_beta 99.26
_cell_angle_gamma 90.04
_space_group_name_H-M_alt 'P -1'
_space_group_IT_number 2
loop_
_space_group_symop_operation_xyz
'x,y,z'
'-x,-y,-z'
loop_
_atom_site_label
_atom_site_type_symbol
_atom_site_fract_x
_atom_site_fract_y
_atom_site_fract_z
Li1 Li 0.054 0.166 0.107
Li2 Li 0.155 0.724 0.314
Mg1 Mg 0.000 0.500 0.000
Mg2 Mg 0.205 0.109 0.401
Mg3 Mg 0.323 0.566 0.649
Ag1 Ag 0.430 0.135 0.859
```

Principal peaks in the range 2θ = 10–90°, low angle first:
2θ 12.24, d = 7.232 Å, rel. 76, (0 1 0); 2θ 18.22, d = 4.869 Å, rel. 63, (0 1 1); 2θ 19.56, d = 4.539 Å, rel. 100, (0 1 -2); 2θ 23.22, d = 3.831 Å, rel. 45, (0 2 -1); 2θ 29.18, d = 3.060 Å, rel. 42, (1 0 0); 2θ 32.42, d = 2.761 Å, rel. 45, (1 1 0); 2θ 36.70, d = 2.449 Å, rel. 65, (-1 1 2); 2θ 37.35, d = 2.408 Å, rel. 58, (0 3 0); 2θ 37.66, d = 2.389 Å, rel. 67, (1 -1 2); 2θ 37.86, d = 2.377 Å, rel. 46, (1 2 -2)



Entry 4:
# CaZn8Pd4
Theoretical powder diffractogram, Cu Kα (λ = 1.5418 Å). Input: the GGA-PBE geometry in Alexandria.

Structural model:
```
data_CaZn8Pd4
_chemical_formula_sum 'Ca2 Zn16 Pd8'
_cell_length_a 8.793
_cell_length_b 8.793
_cell_length_c 5.520
_cell_angle_alpha 90.00
_cell_angle_beta 90.00
_cell_angle_gamma 90.00
_space_group_name_H-M_alt 'I 4/m m m'
_space_group_IT_number 139
_space_group_name_Hall '-I 4 2'
loop_
_atom_site_label
_atom_site_type_symbol
_atom_site_fract_x
_atom_site_fract_y
_atom_site_fract_z
Ca1 Ca 0.000 0.000 0.000
Zn1 Zn 0.000 0.221 0.500
Zn2 Zn 0.000 0.346 0.000
Pd1 Pd 0.250 0.250 0.250
```

Principal peaks in the range 2θ = 10–90°, low angle first:
2θ 20.20, d = 4.396 Å, rel. 56, (2 0 0); 2θ 34.65, d = 2.589 Å, rel. 22, (3 0 1); 2θ 38.51, d = 2.338 Å, rel. 83, (2 0 2); 2θ 40.44, d = 2.231 Å, rel. 50, (3 2 1); 2θ 41.06, d = 2.198 Å, rel. 61, (4 0 0); 2θ 43.86, d = 2.064 Å, rel. 100, (2 2 2); 2θ 45.60, d = 1.989 Å, rel. 24, (4 1 1); 2θ 46.17, d = 1.966 Å, rel. 49, (4 2 0); 2θ 73.11, d = 1.294 Å, rel. 24, (6 0 2); 2θ 76.76, d = 1.242 Å, rel. 17, (6 2 2)



What did the first record say?
# Ac3Ga2Ir2
Theoretical powder diffractogram, Cu Kα (λ = 1.5418 Å). Input: the GGA-PBE geometry in Alexandria.

Structural model:
```
data_Ac3Ga2Ir2
_chemical_formula_sum 'Ac6 Ga4 Ir4'
_cell_length_a 4.291
_cell_length_b 4.541
_cell_length_c 19.034
_cell_angle_alpha 90.00
_cell_angle_beta 90.00
_cell_angle_gamma 90.00
_space_group_name_H-M_alt 'I m m m'
_space_group_IT_number 71
_space_group_name_Hall '-I 2 2'
loop_
_atom_site_label
_atom_site_type_symbol
_atom_site_fract_x
_atom_site_fract_y
_atom_site_fract_z
Ac1 Ac 0.000 0.000 0.000
Ac2 Ac 0.000 0.500 0.314
Ga1 Ga 0.000 0.000 0.432
Ir1 Ir 0.000 0.500 0.143
```

Principal peaks in the range 2θ = 10–90°, low angle first:
2θ 28.13, d = 3.172 Å, rel. 27, (0 0 6); 2θ 28.62, d = 3.119 Å, rel. 23, (1 1 0); 2θ 30.15, d = 2.964 Å, rel. 100, (1 1 2); 2θ 30.64, d = 2.917 Å, rel. 57, (0 1 5); 2θ 34.38, d = 2.609 Å, rel. 44, (1 1 4); 2θ 39.22, d = 2.297 Å, rel. 38, (1 0 7); 2θ 39.69, d = 2.271 Å, rel. 34, (0 2 0); 2θ 42.11, d = 2.146 Å, rel. 29, (2 0 0); 2θ 52.98, d = 1.729 Å, rel. 25, (2 1 5); 2θ 57.00, d = 1.616 Å, rel. 43, (0 1 11)